Structure and theoretical powder XRD pattern of ThGePt4 (a structure optimized by DFT (PBE); a wavelength of 1.5418 Å).
Neutral-atom scattering factors, no anomalous dispersion.

Unit cell a=4.3079 b=19.8421 c=5.6331 alpha=90.00 beta=90.00 gamma=90.00
Space group Cmcm (No. 63)
Symmetry-distinct sites (fractional):
1 Th 0.0000 0.1089 0.2500 (multiplicity 4)
2 Ge 0.0000 0.3994 0.2500 (multiplicity 4)
3 Pt 0.0000 0.1672 0.7500 (multiplicity 4)
4 Pt 0.0000 0.2947 0.5116 (multiplicity 8)
5 Pt 0.0000 0.5000 0.0000 (multiplicity 4)

The 12 most intense peaks (2θ = 15–90°), by angle:
2θ/deg	intensity	(hkl)
29.39	50	1 3 1
30.63	100	1 5 0
36.69	86	0 4 2
38.46	75	1 1 2
40.63	33	1 3 2
41.36	54	1 7 1
41.94	66	2 0 0
44.71	53	1 5 2
45.73	24	0 10 0
56.93	49	2 4 2
81.69	19	2 0 4
89.87	20	2 14 2